(1)
Starting from a structure optimized by DFT (GGA-PBE), the X-ray diffraction stick pattern of EuPuRh2 was calculated for Cu Kα, 1.54184 Å.
Peak positions follow from Bragg's law for the DFT cell and can differ from measured ones.

Structural model:
Cell lengths 6.8990, 6.8990, 6.8990 Å; angles 90.00, 90.00, 90.00 degrees
Space group Fm-3m (No. 225)
Inequivalent atoms, fractional coordinates:
Eu  0.0000  0.0000  0.0000 x4
Pu  0.0000  0.0000  0.5000 x4
Rh  0.2500  0.2500  0.2500 x8

Largest 8 diffraction maxima, low angle first, 10 to 90 degrees two-theta:
d_spacing  intensity
3.983  4
3.450  10
2.439  100
1.725  18
1.543  5
1.408  36
1.220  11
1.091  17

---

(2)
Starting from a structure optimized by DFT (GGA-PBE), the X-ray diffraction stick pattern of RbEu3 was calculated for Cu Kα, 1.54184 Å.
Peak positions follow from Bragg's law for the DFT cell and can differ from measured ones.

Structural model:
Cell lengths 9.7417, 9.7417, 9.7417 Å; angles 90.00, 90.00, 90.00 degrees
Space group Fm-3m (No. 225)
Inequivalent atoms, fractional coordinates:
Rb  0.0000  0.0000  0.0000 x4
Eu  0.0000  0.0000  0.5000 x4
Eu  0.2500  0.2500  0.2500 x8

Largest 8 diffraction maxima, low angle first, 10 to 90 degrees two-theta:
d_spacing  intensity
3.444  100
2.435  20
1.989  43
1.722  14
1.540  19
1.406  5
1.302  22
1.148  11

---

(3)
Starting from a structure optimized by DFT (GGA-PBE), the X-ray diffraction stick pattern of RbEu3 was calculated for Cu Kα, 1.54184 Å.
Peak positions follow from Bragg's law for the DFT cell and can differ from measured ones.

Structural model:
Cell lengths 6.0143, 6.0143, 6.0143 Å; angles 90.00, 90.00, 90.00 degrees
Space group Pm-3m (No. 221)
Inequivalent atoms, fractional coordinates:
Rb  0.0000  0.0000  0.0000 x1
Eu  0.0000  0.5000  0.5000 x3

Largest 8 diffraction maxima, low angle first, 10 to 90 degrees two-theta:
d_spacing  intensity
3.472  100
3.007  52
2.126  39
1.813  48
1.736  14
1.380  19
1.345  18
1.157  15

---

(4)
Starting from a structure optimized by DFT (GGA-PBE), the X-ray diffraction stick pattern of RbEu3 was calculated for Cu Kα, 1.54184 Å.
Peak positions follow from Bragg's law for the DFT cell and can differ from measured ones.

Structural model:
Cell lengths 5.9620, 5.9620, 12.1079 Å; angles 90.00, 90.00, 90.00 degrees
Space group I4/mmm (No. 139)
Inequivalent atoms, fractional coordinates:
Rb  0.0000  0.0000  0.0000 x2
Eu  0.0000  0.0000  0.5000 x2
Eu  0.0000  0.5000  0.2500 x4

Largest 8 diffraction maxima, low angle first, 10 to 90 degrees two-theta:
d_spacing  intensity
3.460  100
3.027  18
2.981  34
2.124  26
1.820  16
1.800  31
1.730  14
1.378  13

---

(5)
Starting from a structure optimized by DFT (GGA-PBE), the X-ray diffraction stick pattern of RbEuS2 was calculated for Cu Kα, 1.54184 Å.
Peak positions follow from Bragg's law for the DFT cell and can differ from measured ones.

Structural model:
Cell lengths 4.2526, 4.2526, 22.9296 Å; angles 90.00, 90.00, 120.00 degrees
Space group R-3m (No. 166, hexagonal axes)
Inequivalent atoms, fractional coordinates:
Rb  0.0000  0.0000  0.0000 x3
Eu  0.0000  0.0000  0.5000 x3
S  0.0000  0.0000  0.2315 x6

Largest 8 diffraction maxima, low angle first, 10 to 90 degrees two-theta:
d_spacing  intensity
7.643  24
3.822  21
3.506  45
3.098  100
2.262  36
2.126  35
1.858  18
1.753  18

---

(6)
Starting from a structure optimized by DFT (GGA-PBE), the X-ray diffraction stick pattern of RbEuSiS4 was calculated for Cu Kα, 1.54184 Å.
Peak positions follow from Bragg's law for the DFT cell and can differ from measured ones.

Structural model:
Cell lengths 6.4915, 6.6706, 17.2433 Å; angles 90.00, 90.00, 90.00 degrees
Space group P2_12_12_1 (No. 19)
Inequivalent atoms, fractional coordinates:
Rb  0.0151  0.0047  0.0329 x4
Eu  0.2088  0.0200  0.7739 x4
Si  0.2102  0.5121  0.1626 x4
S  0.0460  0.0089  0.4115 x4
S  0.0756  0.2536  0.6405 x4
S  0.1057  0.7484  0.6472 x4
S  0.1174  0.5559  0.2795 x4

Largest 8 diffraction maxima, low angle first, 10 to 90 degrees two-theta:
d_spacing  intensity
8.622  100
4.652  47
4.094  48
3.335  56
3.040  85
2.637  73
2.246  60
2.049  50

---

(7)
Starting from a structure optimized by DFT (GGA-PBE), the X-ray diffraction stick pattern of Eu2Re6S11 was calculated for Cu Kα, 1.54184 Å.
Peak positions follow from Bragg's law for the DFT cell and can differ from measured ones.

Structural model:
Cell lengths 9.1094, 9.1094, 31.7361 Å; angles 90.00, 90.00, 120.00 degrees
Space group R-3c (No. 167, hexagonal axes)
Inequivalent atoms, fractional coordinates:
Eu  0.0000  0.0000  0.1902 x12
Re  0.0288  0.1794  0.4656 x36
S  0.0000  0.0000  0.0928 x12
S  0.0000  0.2501  0.7500 x18
S  0.0024  0.3886  0.1970 x36

Largest 8 diffraction maxima, low angle first, 10 to 90 degrees two-theta:
d_spacing  intensity
7.064  100
5.594  73
4.555  33
2.930  39
2.491  26
2.180  31
2.173  25
1.913  31

---

(8)
Starting from a structure optimized by DFT (GGA-PBE), the X-ray diffraction stick pattern of Eu3Rh was calculated for Cu Kα, 1.54184 Å.
Peak positions follow from Bragg's law for the DFT cell and can differ from measured ones.

Structural model:
Cell lengths 7.7070, 9.9380, 6.5841 Å; angles 90.00, 90.00, 90.00 degrees
Space group Pnma (No. 62)
Inequivalent atoms, fractional coordinates:
Eu  0.0416  0.2500  0.1423 x4
Eu  0.1707  0.0691  0.6640 x8
Rh  0.1182  0.7500  0.4472 x4

Largest 8 diffraction maxima, low angle first, 10 to 90 degrees two-theta:
d_spacing  intensity
3.154  34
3.045  37
3.027  32
2.959  64
2.896  65
2.763  100
2.512  28
1.942  30